(1)
Computed PXRD pattern
Compound: DyNbGa2
Radiation: λ = 1.5418 Å (Cu Kα)
Structure: a cell relaxed with GGA-PBE

Peak list (12 most intense, 15 to 90 degrees two-theta, low angle first)
d = 3.547 Å, I = 12
d = 3.079 Å, I = 15
d = 2.508 Å, I = 68
d = 2.335 Å, I = 100
d = 1.950 Å, I = 7
d = 1.774 Å, I = 24
d = 1.412 Å, I = 40
d = 1.319 Å, I = 12
d = 1.254 Å, I = 7
d = 1.167 Å, I = 8
d = 1.122 Å, I = 11
d = 1.105 Å, I = 9

abc: 3.5474 3.5474 6.2031
angles: 90.00 90.00 90.00
Fractional positions:
Dy 0.0000 0.0000 0.0000
Nb 0.0000 0.0000 0.5000
Ga 0.5000 0.5000 0.2913
Ga 0.5000 0.5000 0.7087



(2)
Computed PXRD pattern
Compound: NdDy2Ga
Radiation: λ = 1.5418 Å (Cu Kα)
Structure: a cell relaxed with GGA-PBE

Peak list (12 most intense, 15 to 90 degrees two-theta, low angle first)
d = 3.007 Å, I = 100
d = 2.945 Å, I = 74
d = 2.879 Å, I = 21
d = 2.799 Å, I = 62
d = 2.689 Å, I = 61
d = 2.518 Å, I = 34
d = 2.409 Å, I = 38
d = 2.144 Å, I = 35
d = 1.847 Å, I = 19
d = 1.728 Å, I = 28
d = 1.677 Å, I = 31
d = 1.609 Å, I = 19

abc: 4.2888 12.1545 8.9947
angles: 90.00 90.00 90.00
Fractional positions:
Nd 0.0000 0.0594 0.2500
Nd 0.0000 0.9406 0.7500
Nd 0.5000 0.4406 0.7500
Nd 0.5000 0.5594 0.2500
Dy 0.0000 0.3549 0.0554
Dy 0.0000 0.3549 0.4446
Dy 0.0000 0.6451 0.5554
Dy 0.0000 0.6451 0.9446
Dy 0.5000 0.1451 0.5554
Dy 0.5000 0.1451 0.9446
Dy 0.5000 0.8549 0.0554
Dy 0.5000 0.8549 0.4446
Ga 0.0000 0.2495 0.7500
Ga 0.0000 0.7505 0.2500
Ga 0.5000 0.2505 0.2500
Ga 0.5000 0.7495 0.7500



(3)
Computed PXRD pattern
Compound: NdDyGa2Ru2
Radiation: λ = 1.5418 Å (Cu Kα)
Structure: a cell relaxed with GGA-PBE

Peak list (12 most intense, 15 to 90 degrees two-theta, low angle first)
d = 3.759 Å, I = 9
d = 3.366 Å, I = 2
d = 2.665 Å, I = 100
d = 2.170 Å, I = 52
d = 1.889 Å, I = 11
d = 1.880 Å, I = 2
d = 1.688 Å, I = 2
d = 1.683 Å, I = 25
d = 1.425 Å, I = 25
d = 1.330 Å, I = 23
d = 1.253 Å, I = 9
d = 1.194 Å, I = 7

abc: 4.3405 4.3405 7.5562
angles: 90.00 90.00 120.00
Fractional positions:
Nd 0.0000 0.0000 0.0000
Dy 0.0000 0.0000 0.5000
Ga 0.3333 0.6667 0.2668
Ga 0.6667 0.3333 0.7332
Ru 0.3333 0.6667 0.7362
Ru 0.6667 0.3333 0.2638



(4)
Computed PXRD pattern
Compound: NdDyGaRu
Radiation: λ = 1.5418 Å (Cu Kα)
Structure: a cell relaxed with GGA-PBE

Peak list (12 most intense, 15 to 90 degrees two-theta, low angle first)
d = 3.385 Å, I = 22
d = 2.849 Å, I = 100
d = 2.704 Å, I = 20
d = 2.687 Å, I = 47
d = 2.295 Å, I = 25
d = 2.285 Å, I = 52
d = 2.170 Å, I = 28
d = 2.015 Å, I = 23
d = 1.688 Å, I = 23
d = 1.477 Å, I = 16
d = 1.443 Å, I = 14
d = 1.201 Å, I = 16

abc: 4.3394 4.0307 10.8161
angles: 90.00 90.00 90.00
Fractional positions:
Nd 0.0000 0.0000 0.0000
Nd 0.0000 0.5000 0.5000
Dy 0.5000 0.0000 0.7165
Dy 0.5000 0.5000 0.2165
Ga 0.5000 0.0000 0.4177
Ga 0.5000 0.5000 0.9177
Ru 0.0000 0.0000 0.2860
Ru 0.0000 0.5000 0.7860



(5)
Computed PXRD pattern
Compound: Dy3Ga5Ni6
Radiation: λ = 1.5418 Å (Cu Kα)
Structure: a cell relaxed with GGA-PBE

Peak list (12 most intense, 15 to 90 degrees two-theta, low angle first)
d = 3.738 Å, I = 11
d = 2.878 Å, I = 23
d = 2.507 Å, I = 13
d = 2.422 Å, I = 100
d = 2.402 Å, I = 24
d = 2.351 Å, I = 10
d = 2.245 Å, I = 23
d = 2.085 Å, I = 12
d = 2.056 Å, I = 31
d = 2.015 Å, I = 13
d = 1.562 Å, I = 12
d = 1.246 Å, I = 12

abc: 4.1115 12.0928 8.9758
angles: 90.00 90.00 90.00
Fractional positions:
Dy 0.2500 0.0575 0.2469
Dy 0.2500 0.4425 0.2469
Dy 0.2500 0.7500 0.2700
Dy 0.7500 0.2500 0.7300
Dy 0.7500 0.5575 0.7531
Dy 0.7500 0.9425 0.7531
Ga 0.2500 0.0764 0.5889
Ga 0.2500 0.4236 0.5889
Ga 0.2500 0.6128 0.9901
Ga 0.2500 0.7500 0.7615
Ga 0.2500 0.8872 0.9901
Ga 0.7500 0.1128 0.0099
Ga 0.7500 0.2500 0.2385
Ga 0.7500 0.3872 0.0099
Ga 0.7500 0.5764 0.4111
Ga 0.7500 0.9236 0.4111
Ni 0.2500 0.0869 0.8646
Ni 0.2500 0.2500 0.0378
Ni 0.2500 0.2500 0.4367
Ni 0.2500 0.4131 0.8646
Ni 0.2500 0.6352 0.5383
Ni 0.2500 0.8648 0.5383
Ni 0.7500 0.1352 0.4617
Ni 0.7500 0.3648 0.4617
Ni 0.7500 0.5869 0.1354
Ni 0.7500 0.7500 0.5633
Ni 0.7500 0.7500 0.9622
Ni 0.7500 0.9131 0.1354



(6)
Computed PXRD pattern
Compound: Dy2Ga8Ni
Radiation: λ = 1.5418 Å (Cu Kα)
Structure: a cell relaxed with GGA-PBE

Peak list (12 most intense, 15 to 90 degrees two-theta, low angle first)
d = 4.259 Å, I = 21
d = 2.787 Å, I = 12
d = 2.645 Å, I = 47
d = 2.332 Å, I = 100
d = 2.212 Å, I = 21
d = 2.130 Å, I = 56
d = 1.534 Å, I = 25
d = 1.506 Å, I = 18
d = 1.309 Å, I = 10
d = 1.265 Å, I = 27
d = 1.256 Å, I = 14
d = 1.245 Å, I = 13

abc: 4.2594 4.2594 11.0576
angles: 90.00 90.00 90.00
Fractional positions:
Dy 0.0000 0.0000 0.1935
Dy 0.0000 0.0000 0.8065
Ga 0.0000 0.5000 0.0000
Ga 0.0000 0.5000 0.3810
Ga 0.0000 0.5000 0.6190
Ga 0.5000 0.0000 0.0000
Ga 0.5000 0.0000 0.3810
Ga 0.5000 0.0000 0.6190
Ga 0.5000 0.5000 0.1956
Ga 0.5000 0.5000 0.8044
Ni 0.0000 0.0000 0.5000



(7)
Computed PXRD pattern
Compound: Dy3Ga7Ni2
Radiation: λ = 1.5418 Å (Cu Kα)
Structure: a cell relaxed with GGA-PBE

Peak list (12 most intense, 15 to 90 degrees two-theta, low angle first)
d = 2.923 Å, I = 12
d = 2.555 Å, I = 100
d = 2.544 Å, I = 23
d = 2.362 Å, I = 16
d = 2.299 Å, I = 20
d = 2.089 Å, I = 27
d = 2.072 Å, I = 27
d = 1.614 Å, I = 16
d = 1.471 Å, I = 17
d = 1.348 Å, I = 15
d = 1.279 Å, I = 13
d = 1.271 Å, I = 12

abc: 4.1773 4.1442 13.0538
angles: 90.00 99.10 90.00
Fractional positions:
Dy 0.0000 0.0000 0.0000
Dy 0.3177 0.5000 0.6385
Dy 0.6823 0.5000 0.3615
Ga 0.0865 0.5000 0.1705
Ga 0.2223 0.0000 0.4444
Ga 0.4154 0.0000 0.8290
Ga 0.5000 0.5000 0.0000
Ga 0.5846 0.0000 0.1710
Ga 0.7777 0.0000 0.5556
Ga 0.9135 0.5000 0.8295
Ni 0.1293 0.0000 0.2617
Ni 0.8707 0.0000 0.7383



(8)
Computed PXRD pattern
Compound: Dy4Ga12Ni
Radiation: λ = 1.5418 Å (Cu Kα)
Structure: a cell relaxed with GGA-PBE

Peak list (12 most intense, 15 to 90 degrees two-theta, low angle first)
d = 4.289 Å, I = 11
d = 3.033 Å, I = 26
d = 2.476 Å, I = 100
d = 2.293 Å, I = 5
d = 2.145 Å, I = 58
d = 1.918 Å, I = 8
d = 1.751 Å, I = 8
d = 1.516 Å, I = 35
d = 1.356 Å, I = 7
d = 1.293 Å, I = 32
d = 1.238 Å, I = 11
d = 1.146 Å, I = 7

abc: 7.4291 7.4291 7.4291
angles: 109.47 109.47 109.47
Fractional positions:
Dy 0.0000 0.0000 0.5000
Dy 0.0000 0.5000 0.0000
Dy 0.5000 0.0000 0.0000
Dy 0.5000 0.5000 0.5000
Ga 0.0000 0.2871 0.2871
Ga 0.0000 0.7129 0.7129
Ga 0.2500 0.5000 0.7500
Ga 0.2500 0.7500 0.5000
Ga 0.2871 0.0000 0.2871
Ga 0.2871 0.2871 0.0000
Ga 0.5000 0.2500 0.7500
Ga 0.5000 0.7500 0.2500
Ga 0.7129 0.0000 0.7129
Ga 0.7129 0.7129 0.0000
Ga 0.7500 0.2500 0.5000
Ga 0.7500 0.5000 0.2500
Ni 0.0000 0.0000 0.0000



Copy entry 5 word for word.
Computed PXRD pattern
Compound: Dy3Ga5Ni6
Radiation: λ = 1.5418 Å (Cu Kα)
Structure: a cell relaxed with GGA-PBE

Peak list (12 most intense, 15 to 90 degrees two-theta, low angle first)
d = 3.738 Å, I = 11
d = 2.878 Å, I = 23
d = 2.507 Å, I = 13
d = 2.422 Å, I = 100
d = 2.402 Å, I = 24
d = 2.351 Å, I = 10
d = 2.245 Å, I = 23
d = 2.085 Å, I = 12
d = 2.056 Å, I = 31
d = 2.015 Å, I = 13
d = 1.562 Å, I = 12
d = 1.246 Å, I = 12

abc: 4.1115 12.0928 8.9758
angles: 90.00 90.00 90.00
Fractional positions:
Dy 0.2500 0.0575 0.2469
Dy 0.2500 0.4425 0.2469
Dy 0.2500 0.7500 0.2700
Dy 0.7500 0.2500 0.7300
Dy 0.7500 0.5575 0.7531
Dy 0.7500 0.9425 0.7531
Ga 0.2500 0.0764 0.5889
Ga 0.2500 0.4236 0.5889
Ga 0.2500 0.6128 0.9901
Ga 0.2500 0.7500 0.7615
Ga 0.2500 0.8872 0.9901
Ga 0.7500 0.1128 0.0099
Ga 0.7500 0.2500 0.2385
Ga 0.7500 0.3872 0.0099
Ga 0.7500 0.5764 0.4111
Ga 0.7500 0.9236 0.4111
Ni 0.2500 0.0869 0.8646
Ni 0.2500 0.2500 0.0378
Ni 0.2500 0.2500 0.4367
Ni 0.2500 0.4131 0.8646
Ni 0.2500 0.6352 0.5383
Ni 0.2500 0.8648 0.5383
Ni 0.7500 0.1352 0.4617
Ni 0.7500 0.3648 0.4617
Ni 0.7500 0.5869 0.1354
Ni 0.7500 0.7500 0.5633
Ni 0.7500 0.7500 0.9622
Ni 0.7500 0.9131 0.1354



Q: Number 1 is which compound?
A: DyNbGa2